MnV2Ni7Ge2: simulated X-ray powder pattern (Cu Ka), based on a DFT-relaxed cell (PBE, Alexandria).
Kinematic intensities with the Lorentz-polarization factor, no thermal factor.

Structure:
```
data_MnV2Ni7Ge2
_cell_length_a 5.064
_cell_length_b 5.070
_cell_length_c 11.473
_cell_angle_alpha 90.00
_cell_angle_beta 90.00
_cell_angle_gamma 90.00
_space_group_name_H-M_alt 'C m m m'
_space_group_IT_number 65
_space_group_name_Hall '-C 2 2'
loop_
_atom_site_label
_atom_site_fract_x
_atom_site_fract_y
_atom_site_fract_z
Mn1 0.000 0.000 0.000
V1 0.000 0.500 0.323
Ni1 0.000 0.246 0.500
Ni2 0.000 0.500 0.000
Ni3 0.250 0.250 0.157
Ge1 0.000 0.000 0.307
```

The 10 most intense peaks (10 to 90 degrees two-theta), low angle first:
index, 2theta, I/Imax
2 0 1, 36.3, 13
0 2 3, 42.8, 100
0 0 6, 47.6, 21
2 0 4, 47.9, 19
2 2 0, 51.0, 19
2 2 1, 51.6, 13
2 2 2, 53.6, 11
2 2 6, 72.3, 8
4 0 0, 75.0, 13
2 2 7, 79.2, 11

Pm2Ag3Hg: simulated X-ray powder pattern (Cu Ka), based on a DFT-relaxed cell (PBE, Alexandria).
Kinematic intensities with the Lorentz-polarization factor, no thermal factor.

Structure:
```
data_Pm2Ag3Hg
_cell_length_a 6.869
_cell_length_b 9.789
_cell_length_c 16.965
_cell_angle_alpha 90.00
_cell_angle_beta 90.00
_cell_angle_gamma 90.00
_space_group_name_H-M_alt 'F m m m'
_space_group_IT_number 69
_space_group_name_Hall '-F 2 2'
loop_
_atom_site_label
_atom_site_fract_x
_atom_site_fract_y
_atom_site_fract_z
Pm1 0.248 0.000 0.000
Pm2 0.250 0.250 0.250
Ag1 0.000 0.000 0.165
Ag2 0.000 0.248 0.082
Hg1 0.000 0.000 0.334
```

The 10 most intense peaks (10 to 90 degrees two-theta), low angle first:
index, 2theta, I/Imax
2 0 4, 33.6, 100
0 4 0, 36.7, 86
2 4 4, 50.6, 31
4 0 0, 53.4, 10
2 2 10, 64.1, 30
0 6 6, 66.1, 15
4 4 0, 66.5, 29
0 8 0, 78.1, 9
2 6 10, 87.7, 13
4 6 6, 89.9, 14

Ca4ScSe5: simulated X-ray powder pattern (Cu Ka), based on a DFT-relaxed cell (PBE, Alexandria).
Kinematic intensities with the Lorentz-polarization factor, no thermal factor.

Structure:
```
data_Ca4ScSe5
_cell_length_a 4.137
_cell_length_b 4.137
_cell_length_c 29.313
_cell_angle_alpha 90.00
_cell_angle_beta 90.00
_cell_angle_gamma 90.00
_space_group_name_H-M_alt 'I 4/m m m'
_space_group_IT_number 139
_space_group_name_Hall '-I 4 2'
loop_
_atom_site_label
_atom_site_fract_x
_atom_site_fract_y
_atom_site_fract_z
Ca1 0.000 0.000 0.098
Ca2 0.000 0.000 0.301
Sc1 0.000 0.000 0.500
Se1 0.000 0.000 0.000
Se2 0.000 0.000 0.199
Se3 0.000 0.000 0.405
```

The 10 most intense peaks (10 to 90 degrees two-theta), low angle first:
index, 2theta, I/Imax
1 0 5, 26.4, 17
1 1 0, 30.5, 100
2 0 0, 43.7, 71
2 1 5, 51.8, 8
2 0 10, 54.3, 24
2 2 0, 63.6, 8
3 0 5, 70.1, 3
2 2 10, 72.1, 19
3 1 0, 72.2, 10
3 1 10, 80.3, 21

Li2Zn2CdGa2: simulated X-ray powder pattern (Cu Ka), based on a DFT-relaxed cell (PBE, Alexandria).
Kinematic intensities with the Lorentz-polarization factor, no thermal factor.

Structure:
```
data_Li2Zn2CdGa2
_cell_length_a 9.511
_cell_length_b 4.183
_cell_length_c 5.969
_cell_angle_alpha 90.00
_cell_angle_beta 94.49
_cell_angle_gamma 90.00
_space_group_name_H-M_alt 'C 1 2/m 1'
_space_group_IT_number 12
_space_group_name_Hall '-C 2y'
loop_
_atom_site_label
_atom_site_fract_x
_atom_site_fract_y
_atom_site_fract_z
Li1 0.205 0.000 0.153
Zn1 0.144 0.500 0.426
Cd1 0.000 0.500 0.000
Ga1 0.089 0.000 0.692
```

The 10 most intense peaks (10 to 90 degrees two-theta), low angle first:
index, 2theta, I/Imax
2 0 0, 18.7, 34
2 0 1, 24.9, 28
1 1 -1, 27.3, 55
3 1 -1, 37.9, 100
1 1 2, 38.9, 96
4 0 1, 42.1, 37
0 2 0, 43.3, 36
2 0 -3, 48.3, 22
4 2 1, 62.0, 23
2 2 -3, 66.9, 16

LaTb7Sc4: simulated X-ray powder pattern (Cu Ka), based on a DFT-relaxed cell (PBE, Alexandria).
Kinematic intensities with the Lorentz-polarization factor, no thermal factor.

Structure:
```
data_LaTb7Sc4
_cell_length_a 6.066
_cell_length_b 7.005
_cell_length_c 8.623
_cell_angle_alpha 90.03
_cell_angle_beta 103.65
_cell_angle_gamma 90.02
_space_group_name_H-M_alt 'P -1'
_space_group_IT_number 2
_space_group_name_Hall '-P 1'
loop_
_atom_site_label
_atom_site_fract_x
_atom_site_fract_y
_atom_site_fract_z
La1 0.000 0.000 0.000
Tb1 0.000 0.500 0.000
Tb2 0.225 0.001 0.662
Tb3 0.285 0.742 0.341
Tb4 0.498 0.257 0.005
Sc1 0.215 0.500 0.660
Sc2 0.274 0.258 0.338
```

The 10 most intense peaks (10 to 90 degrees two-theta), low angle first:
index, 2theta, I/Imax
1 -2 0, 29.7, 52
0 0 3, 32.0, 49
1 2 1, 32.8, 100
1 2 -2, 34.5, 99
1 -2 3, 46.9, 18
3 2 -1, 52.2, 37
1 2 4, 56.4, 19
1 2 -5, 59.9, 21
3 2 -4, 62.6, 21
3 2 2, 62.6, 21

Rb6IO2: simulated X-ray powder pattern (Cu Ka), based on a DFT-relaxed cell (PBE, Alexandria).
Kinematic intensities with the Lorentz-polarization factor, no thermal factor.

Structure:
```
data_Rb6IO2
_cell_length_a 14.738
_cell_length_b 5.777
_cell_length_c 10.966
_cell_angle_alpha 90.00
_cell_angle_beta 119.75
_cell_angle_gamma 90.00
_space_group_name_H-M_alt 'C 1 2/m 1'
_space_group_IT_number 12
_space_group_name_Hall '-C 2y'
loop_
_atom_site_label
_atom_site_fract_x
_atom_site_fract_y
_atom_site_fract_z
Rb1 0.019 0.000 0.167
Rb2 0.185 0.500 0.652
Rb3 0.206 0.500 0.057
I1 0.000 0.000 0.500
O1 0.170 0.000 0.079
```

The 10 most intense peaks (10 to 90 degrees two-theta), low angle first:
index, 2theta, I/Imax
2 0 -1, 12.3, 22
2 0 -2, 16.8, 57
2 0 -3, 24.4, 32
3 1 -2, 25.2, 23
3 1 0, 26.0, 100
4 0 -3, 28.1, 20
1 1 -3, 29.8, 50
0 2 0, 31.0, 52
5 1 -3, 35.9, 61
3 3 0, 52.1, 21